# 1
Diffraction record for DyHoFe8B2. The powder diffraction line list is theoretical, not measured: it uses a cell relaxed with PBE and Cu Kα X-rays.
Peak positions follow from Bragg's law for the DFT cell and can differ from measured ones.

Principal peaks in the range 10 to 80 degrees two-theta, sorted by position:
| d (Å) | two_theta | Rel. int. |
| --- | --- | --- |
| 2.738 | 32.71 | 96 |
| 2.527 | 35.53 | 34 |
| 2.188 | 41.26 | 72 |
| 2.050 | 44.17 | 100 |
| 1.496 | 62.03 | 31 |
| 1.347 | 69.83 | 24 |

Atomic structure:
```
12
Lattice="5.0531 0.0000 0.0000 -2.5265 4.3761 0.0000 0.0000 0.0000 7.0180" Properties=species:S:1:pos:R:3 pbc="T T T"
Dy 0.0000 0.0000 0.0000
Ho 0.0000 0.0000 3.5090
Fe -1.2633 2.1880 1.5017
Fe -1.2633 2.1880 5.5163
Fe 0.0000 2.9174 3.5090
Fe 2.5265 0.0000 1.5017
Fe 2.5265 0.0000 5.5163
Fe 1.2633 2.1880 1.5017
Fe 1.2633 2.1880 5.5163
Fe 2.5265 1.4587 3.5090
B 0.0000 2.9174 0.0000
B 2.5265 1.4587 0.0000
```

---

# 2
Diffraction record for DyHoFe6Ni2B2. The powder diffraction line list is theoretical, not measured: it uses a cell relaxed with PBE and Cu Kα X-rays.
Peak positions follow from Bragg's law for the DFT cell and can differ from measured ones.

Principal peaks in the range 10 to 80 degrees two-theta, sorted by position:
| d (Å) | two_theta | Rel. int. |
| --- | --- | --- |
| 2.737 | 32.72 | 90 |
| 2.501 | 35.90 | 34 |
| 2.166 | 41.70 | 66 |
| 2.041 | 44.39 | 100 |
| 1.485 | 62.53 | 28 |
| 1.337 | 70.45 | 24 |

Atomic structure:
```
12
Lattice="5.0027 0.0000 0.0000 -2.5013 4.3324 0.0000 0.0000 0.0000 7.0604" Properties=species:S:1:pos:R:3 pbc="T T T"
Dy 0.0000 0.0000 0.0000
Ho 0.0000 0.0000 3.5302
Fe -1.2507 2.1662 1.5083
Fe -1.2507 2.1662 5.5521
Fe 2.5013 0.0000 1.5083
Fe 2.5013 0.0000 5.5521
Fe 1.2507 2.1662 1.5083
Fe 1.2507 2.1662 5.5521
Ni 0.0000 2.8883 3.5302
Ni 2.5013 1.4441 3.5302
B 0.0000 2.8883 0.0000
B 2.5013 1.4441 0.0000
```

---

# 3
Diffraction record for Dy2Fe4B4Ir. The powder diffraction line list is theoretical, not measured: it uses a cell relaxed with PBE and Cu Kα X-rays.
Peak positions follow from Bragg's law for the DFT cell and can differ from measured ones.

Principal peaks in the range 10 to 80 degrees two-theta, sorted by position:
| d (Å) | two_theta | Rel. int. |
| --- | --- | --- |
| 4.828 | 18.37 | 25 |
| 2.829 | 31.63 | 100 |
| 2.414 | 37.24 | 38 |
| 2.244 | 40.19 | 62 |
| 2.178 | 41.45 | 57 |
| 1.617 | 56.94 | 20 |

Atomic structure:
```
11
Lattice="0.0000 4.8285 5.4654 2.5343 0.0000 5.4654 2.5343 4.8285 0.0000" Properties=species:S:1:pos:R:3 pbc="T T T"
Dy 2.5343 4.8285 1.6227
Dy 2.5343 4.8285 9.3081
Fe 1.2671 2.4142 0.0000
Fe 1.2671 2.4142 2.7327
Fe 1.2671 2.4142 5.4654
Fe 3.8014 7.2427 8.1981
B 2.5343 3.2624 3.9773
B 2.5343 3.2624 6.9535
B 2.5343 6.3946 3.9773
B 2.5343 6.3946 6.9535
Ir 2.5343 4.8285 5.4654
```

---

# 4
Diffraction record for Dy2Fe2B4Ir3. The powder diffraction line list is theoretical, not measured: it uses a cell relaxed with PBE and Cu Kα X-rays.
Peak positions follow from Bragg's law for the DFT cell and can differ from measured ones.

Principal peaks in the range 10 to 80 degrees two-theta, sorted by position:
| d (Å) | two_theta | Rel. int. |
| --- | --- | --- |
| 3.663 | 24.30 | 51 |
| 2.941 | 30.39 | 79 |
| 2.442 | 36.81 | 40 |
| 2.399 | 37.49 | 54 |
| 2.339 | 38.48 | 100 |
| 2.222 | 40.59 | 42 |

Atomic structure:
```
11
Lattice="0.0000 4.7980 5.6732 2.6795 0.0000 5.6732 2.6795 4.7980 0.0000" Properties=species:S:1:pos:R:3 pbc="T T T"
Dy 2.6795 4.7980 1.5761
Dy 2.6795 4.7980 9.7703
Fe 1.3398 2.3990 0.0000
Fe 1.3398 2.3990 5.6732
B 2.6795 3.2030 4.2646
B 2.6795 3.2030 7.0817
B 2.6795 6.3929 4.2646
B 2.6795 6.3929 7.0817
Ir 1.3398 2.3990 2.8366
Ir 2.6795 4.7980 5.6732
Ir 4.0193 7.1970 8.5098
```

---

# 5
Diffraction record for Dy2FeB4Ir4. The powder diffraction line list is theoretical, not measured: it uses a cell relaxed with PBE and Cu Kα X-rays.
Peak positions follow from Bragg's law for the DFT cell and can differ from measured ones.

Principal peaks in the range 10 to 80 degrees two-theta, sorted by position:
| d (Å) | two_theta | Rel. int. |
| --- | --- | --- |
| 4.711 | 18.84 | 34 |
| 2.435 | 36.91 | 85 |
| 2.362 | 38.10 | 100 |
| 2.355 | 38.21 | 48 |
| 1.970 | 46.08 | 49 |
| 1.511 | 61.35 | 38 |

Atomic structure:
```
11
Lattice="0.0000 4.7106 5.6901 2.7299 0.0000 5.6901 2.7299 4.7106 0.0000" Properties=species:S:1:pos:R:3 pbc="T T T"
Dy 2.7299 4.7106 1.5663
Dy 2.7299 4.7106 9.8138
Fe 2.7299 4.7106 5.6901
B 2.7299 3.3311 4.2042
B 2.7299 3.3311 7.1759
B 2.7299 6.0902 4.2042
B 2.7299 6.0902 7.1759
Ir 1.3650 2.3553 0.0000
Ir 1.3650 2.3553 2.8450
Ir 1.3650 2.3553 5.6901
Ir 4.0949 7.0660 8.5351
```

---

# 6
Diffraction record for Sm2DyFe2B2N3. The powder diffraction line list is theoretical, not measured: it uses a cell relaxed with PBE and Cu Kα X-rays.
Peak positions follow from Bragg's law for the DFT cell and can differ from measured ones.

Principal peaks in the range 10 to 80 degrees two-theta, sorted by position:
| d (Å) | two_theta | Rel. int. |
| --- | --- | --- |
| 3.120 | 28.61 | 100 |
| 2.664 | 33.64 | 87 |
| 2.559 | 35.07 | 53 |
| 2.481 | 36.20 | 43 |
| 2.411 | 37.29 | 42 |
| 1.754 | 52.13 | 37 |

Atomic structure:
```
10
Lattice="-1.7544 1.7544 10.2363 1.7544 -1.7544 10.2363 1.7544 1.7544 -10.2363" Properties=species:S:1:pos:R:3 pbc="T T T"
Sm 0.0000 0.0000 2.5139
Sm 0.0000 0.0000 17.9586
Dy 0.0000 0.0000 10.2363
Fe 1.7544 0.0000 5.1181
Fe 0.0000 1.7544 5.1181
B 0.0000 0.0000 6.3918
B 0.0000 0.0000 14.0808
N 0.0000 0.0000 0.0000
N 0.0000 0.0000 7.8724
N 0.0000 0.0000 12.6002
```